No. 1
This entry pairs a crystal structure of Y3Mg2Al with its theoretical powder diffraction line list. Radiation: λ = 1.5418 Å (Cu Kα). Structure: a crystal structure in Alexandria, relaxed with GGA-PBE.

Largest 8 diffraction maxima, in order of falling intensity, 5° ≤ 2θ ≤ 70°:
(1 1 0), 34.02°, rel. 100
(1 0 1), 23.88°, rel. 38
(3 0 0), 60.93°, rel. 26
(2 0 2), 48.88°, rel. 17
(2 1 1), 55.10°, rel. 15
(1 0 4), 60.77°, rel. 9
(0 2 1), 42.02°, rel. 8
(0 0 3), 41.90°, rel. 3

Crystal structure
Unit cell a=5.2651 b=5.2651 c=6.4686 alpha=90.00 beta=90.00 gamma=120.00
Space group P-3m1 (No. 164)
Symmetry-distinct sites (fractional):
Y 0.0000 0.0000 0.0000
Y 0.3333 0.6667 0.6586
Mg 0.3333 0.6667 0.1566
Al 0.0000 0.0000 0.5000

No. 2
This entry pairs a crystal structure of YMg14Al with its theoretical powder diffraction line list. Radiation: λ = 1.5418 Å (Cu Kα). Structure: a crystal structure in Alexandria, relaxed with GGA-PBE.

Largest 10 diffraction maxima, in order of falling intensity, 5° ≤ 2θ ≤ 70°:
(2 2 2), 36.92°, rel. 100
(2 0 4), 36.22°, rel. 59
(4 0 0), 34.66°, rel. 41
(0 2 2), 32.46°, rel. 30
(1 0 0), 8.54°, rel. 23
(4 2 6), 68.37°, rel. 20
(0 2 6), 56.91°, rel. 19
(4 2 2), 48.21°, rel. 19
(6 2 2), 63.60°, rel. 18
(1 1 1), 18.22°, rel. 13

Crystal structure
Unit cell a=10.3536 b=6.3215 c=11.3017 alpha=90.00 beta=90.00 gamma=90.00
Space group Amm2 (No. 38)
Symmetry-distinct sites (fractional):
Y 0.0000 0.0000 0.0000
Mg 0.0000 0.2439 0.2504
Mg 0.2351 0.0000 0.6548
Mg 0.2510 0.2495 0.4088
Mg 0.2549 0.0000 0.1601
Mg 0.5000 0.0000 0.4980
Mg 0.5000 0.0000 0.9958
Mg 0.5000 0.2462 0.7459
Al 0.0000 0.0000 0.4872

No. 3
This entry pairs a crystal structure of Mg2AlZn4 with its theoretical powder diffraction line list. Radiation: λ = 1.5418 Å (Cu Kα). Structure: a crystal structure in Alexandria, relaxed with GGA-PBE.

Largest 10 diffraction maxima, in order of falling intensity, 5° ≤ 2θ ≤ 70°:
(0 2 -1), 39.28°, rel. 100
(2 0 -1), 39.53°, rel. 72
(2 -2 0), 40.66°, rel. 66
(0 0 2), 33.96°, rel. 62
(1 -1 0), 20.01°, rel. 43
(0 1 -2), 34.70°, rel. 40
(0 1 0), 19.74°, rel. 33
(1 -1 2), 40.16°, rel. 25
(0 1 1), 29.22°, rel. 24
(2 -1 1), 41.98°, rel. 22

Crystal structure
Unit cell a=5.1769 b=5.2307 c=5.5552 alpha=98.32 beta=100.31 gamma=117.11
Space group P-1 (No. 2)
Symmetry-distinct sites (fractional):
Mg 0.1216 0.1266 0.2867
Al 0.5000 0.0000 0.0000
Zn 0.0000 0.5000 0.0000
Zn 0.2726 0.7272 0.4944
Zn 0.5000 0.5000 0.0000

No. 4
This entry pairs a crystal structure of Mg6AlZn5 with its theoretical powder diffraction line list. Radiation: λ = 1.5418 Å (Cu Kα). Structure: a crystal structure in Alexandria, relaxed with GGA-PBE.

Largest 10 diffraction maxima, in order of falling intensity, 5° ≤ 2θ ≤ 70°:
(1 2 1), 37.61°, rel. 100
(1 2 -2), 37.75°, rel. 99
(2 0 -1), 39.73°, rel. 43
(0 0 3), 39.93°, rel. 41
(0 2 0), 24.84°, rel. 27
(1 0 1), 27.78°, rel. 20
(0 4 0), 50.95°, rel. 20
(1 0 -2), 27.97°, rel. 20
(2 4 -1), 66.48°, rel. 17
(0 4 3), 66.62°, rel. 17

Crystal structure
Unit cell a=4.5371 b=7.1696 c=7.1287 alpha=90.00 beta=108.18 gamma=90.00
Space group P2/m (No. 10)
Symmetry-distinct sites (fractional):
Mg 0.0000 0.2361 0.0000
Mg 0.3297 0.2502 0.6615
Al 0.5000 0.5000 0.0000
Zn 0.1591 0.5000 0.3156
Zn 0.1696 0.0000 0.3374
Zn 0.5000 0.0000 0.0000

No. 5
This entry pairs a crystal structure of Mg4AlZn4 with its theoretical powder diffraction line list. Radiation: λ = 1.5418 Å (Cu Kα). Structure: a crystal structure in Alexandria, relaxed with GGA-PBE.

Largest 10 diffraction maxima, in order of falling intensity, 5° ≤ 2θ ≤ 70°:
(2 2 -2), 40.63°, rel. 100
(2 2 1), 41.57°, rel. 95
(2 0 -1), 22.35°, rel. 66
(2 0 0), 22.89°, rel. 65
(2 2 -1), 30.79°, rel. 55
(0 2 2), 43.39°, rel. 51
(0 4 0), 42.55°, rel. 50
(4 0 -1), 41.91°, rel. 48
(0 2 1), 28.08°, rel. 46
(0 0 1), 18.53°, rel. 42

Crystal structure
Unit cell a=8.6258 b=8.4982 c=5.3142 alpha=90.00 beta=115.72 gamma=90.00
Space group Cm (No. 8)
Symmetry-distinct sites (fractional):
Mg 0.0000 0.0000 0.0000
Mg 0.0926 0.5000 0.9561
Mg 0.4236 0.2964 0.4557
Al 0.3567 0.0000 0.1838
Zn 0.1832 0.5000 0.5285
Zn 0.2223 0.0000 0.5601
Zn 0.2752 0.2460 0.8601

No. 6
This entry pairs a crystal structure of MgAlZn4 with its theoretical powder diffraction line list. Radiation: λ = 1.5418 Å (Cu Kα). Structure: a crystal structure in Alexandria, relaxed with GGA-PBE.

Largest 10 diffraction maxima, in order of falling intensity, 5° ≤ 2θ ≤ 70°:
(1 0 3), 40.84°, rel. 100
(1 2 1), 38.02°, rel. 84
(0 2 0), 29.01°, rel. 57
(1 2 3), 50.87°, rel. 46
(2 0 0), 42.99°, rel. 43
(0 2 2), 37.23°, rel. 37
(1 0 1), 24.04°, rel. 32
(2 2 0), 52.70°, rel. 21
(2 2 2), 58.16°, rel. 19
(0 2 4), 55.87°, rel. 15

Crystal structure
Unit cell a=4.2074 b=6.1555 c=7.7899 alpha=90.00 beta=90.00 gamma=90.00
Space group Immm (No. 71)
Symmetry-distinct sites (fractional):
Mg 0.0000 0.0000 0.0000
Al 0.0000 0.5000 0.0000
Zn 0.0000 0.2316 0.3369